Entry 1:
# Fe24Re5
Simulated powder XRD pattern, Cu Kα, 1.54184 Å. Input: DFT lattice parameters and positions (PBE).
Kinematic intensities with the Lorentz-polarization factor, no thermal factor.

Crystal structure
a b c (Å): 8.7978 8.7978 8.7978
angles (deg): 90.00 90.00 90.00
Space group I-43m (No. 217)
Inequivalent atoms, fractional coordinates:
Fe: 0.0422 0.3623 0.3623 x24
Fe: 0.0937 0.0937 0.2833 x24
Re: 0.0000 0.0000 0.0000 x2
Re: 0.1809 0.1809 0.8191 x8

Main lines, in order of rising 2θ (10 to 80 degrees two-theta):
two_theta	Rel. int.	(hkl)
14.24	14	1 1 0
24.79	16	2 1 1
28.70	6	2 2 0
38.28	15	3 2 1
43.65	100	3 3 0
48.54	13	3 3 2
50.84	13	4 2 2
63.44	5	6 0 0
65.39	9	5 3 2
76.58	10	5 5 0

Entry 2:
# BaCuH8Pt2
Simulated powder XRD pattern, Cu Kα, 1.54184 Å. Input: DFT lattice parameters and positions (PBE).
Kinematic intensities with the Lorentz-polarization factor, no thermal factor.

Crystal structure
a b c (Å): 4.9270 4.9270 17.4387
angles (deg): 90.00 90.00 120.00
Space group R-3m (No. 166, hexagonal axes)
Inequivalent atoms, fractional coordinates:
Ba: 0.0000 0.0000 0.0000 x3
Cu: 0.0000 0.0000 0.5000 x3
H: 0.0000 0.0000 0.3076 x6
H: 0.0479 0.5240 0.0961 x18
Pt: 0.0000 0.0000 0.2139 x6

Main lines, in order of rising 2θ (10 to 80 degrees two-theta):
two_theta	Rel. int.	(hkl)
15.24	25	0 0 3
21.44	23	1 0 1
29.29	100	1 0 4
33.18	63	0 1 5
36.47	99	1 1 0
42.00	20	1 0 7
47.44	26	0 2 4
60.82	23	1 1 9
61.29	25	2 1 4
63.56	20	1 2 5

Entry 3:
# PrCd10Au2
Simulated powder XRD pattern, Cu Kα, 1.54184 Å. Input: DFT lattice parameters and positions (PBE).
Kinematic intensities with the Lorentz-polarization factor, no thermal factor.

Crystal structure
a b c (Å): 5.8204 14.0457 14.1973
angles (deg): 90.00 90.00 90.00
Space group Fmmm (No. 69)
Inequivalent atoms, fractional coordinates:
Pr: 0.0000 0.0000 0.0000 x4
Cd: 0.0000 0.1080 0.3952 x16
Cd: 0.0000 0.1784 0.1717 x16
Cd: 0.2500 0.0000 0.2500 x8
Au: 0.2500 0.2500 0.0000 x8

Main lines, in order of rising 2θ (10 to 80 degrees two-theta):
two_theta	Rel. int.	(hkl)
17.77	19	0 2 2
30.95	29	1 3 3
35.73	100	2 2 2
36.01	86	0 4 4
40.07	32	2 0 4
40.24	54	2 4 0
40.58	17	0 6 2
63.98	10	4 0 0
64.50	25	2 6 6
75.65	12	4 4 4

Entry 4:
# Pm3Ge5Au6
Simulated powder XRD pattern, Cu Kα, 1.54184 Å. Input: DFT lattice parameters and positions (PBE).
Kinematic intensities with the Lorentz-polarization factor, no thermal factor.

Crystal structure
a b c (Å): 4.3579 13.0796 10.1886
angles (deg): 90.00 90.00 90.00
Space group Pmmn (No. 59, origin choice 2)
Inequivalent atoms, fractional coordinates:
Pm: 0.2500 0.0749 0.2456 x4
Pm: 0.2500 0.7500 0.2477 x2
Ge: 0.2500 0.0872 0.8627 x4
Ge: 0.2500 0.6202 0.5286 x4
Ge: 0.2500 0.7500 0.7954 x2
Au: 0.2500 0.0733 0.6149 x4
Au: 0.2500 0.2500 0.0197 x2
Au: 0.2500 0.2500 0.4534 x2
Au: 0.2500 0.5926 0.9894 x4

Main lines, in order of rising 2θ (10 to 80 degrees two-theta):
two_theta	Rel. int.	(hkl)
17.41	12	0 0 2
30.28	20	1 3 1
33.45	38	0 3 3
34.00	100	1 3 2
36.24	16	1 2 3
41.43	61	2 0 0
46.24	14	1 3 4
60.03	18	2 6 0
62.42	18	1 3 6
70.82	20	3 3 2

Question: Which formula does entry 4 have?
Answer: Pm3Ge5Au6

What did the fourth record say?
# Pm3Ge5Au6
Simulated powder XRD pattern, Cu Kα, 1.54184 Å. Input: DFT lattice parameters and positions (PBE).
Kinematic intensities with the Lorentz-polarization factor, no thermal factor.

Crystal structure
a b c (Å): 4.3579 13.0796 10.1886
angles (deg): 90.00 90.00 90.00
Space group Pmmn (No. 59, origin choice 2)
Inequivalent atoms, fractional coordinates:
Pm: 0.2500 0.0749 0.2456 x4
Pm: 0.2500 0.7500 0.2477 x2
Ge: 0.2500 0.0872 0.8627 x4
Ge: 0.2500 0.6202 0.5286 x4
Ge: 0.2500 0.7500 0.7954 x2
Au: 0.2500 0.0733 0.6149 x4
Au: 0.2500 0.2500 0.0197 x2
Au: 0.2500 0.2500 0.4534 x2
Au: 0.2500 0.5926 0.9894 x4

Main lines, in order of rising 2θ (10 to 80 degrees two-theta):
two_theta	Rel. int.	(hkl)
17.41	12	0 0 2
30.28	20	1 3 1
33.45	38	0 3 3
34.00	100	1 3 2
36.24	16	1 2 3
41.43	61	2 0 0
46.24	14	1 3 4
60.03	18	2 6 0
62.42	18	1 3 6
70.82	20	3 3 2